Computed XRD peak list
Compound: Na9SnHg2
Radiation: Cu Kα (weighted mean of Kα1 and Kα2)
Structure: a DFT-relaxed cell (PBE, Alexandria)
Peak positions follow from Bragg's law for the DFT cell and can differ from measured ones.

Crystal structure
```
Na9SnHg2
1.0
4.903 0.000 0.000
0.000 4.903 0.000
0.000 0.000 14.530
Na Sn Hg
9 1 2
Direct
0.000 0.000 0.000 Na
0.000 0.000 0.334 Na
0.000 0.000 0.666 Na
0.000 0.500 0.163 Na
0.000 0.500 0.500 Na
0.000 0.500 0.837 Na
0.500 0.000 0.163 Na
0.500 0.000 0.500 Na
0.500 0.000 0.837 Na
0.500 0.500 0.000 Sn
0.500 0.500 0.332 Hg
0.500 0.500 0.668 Hg
```

Principal peaks in the range 2θ = 10–90°, most intense first:
2theta, d [Å], Rel. int., index
31.7, 2.819, 100, 1 1 3
18.1, 4.903, 69, 1 0 0
25.9, 3.446, 60, 1 0 3
36.7, 2.452, 34, 2 0 0
18.3, 4.843, 33, 0 0 3
25.7, 3.467, 30, 1 1 0
45.4, 1.998, 28, 2 1 3
62.9, 1.477, 27, 3 1 3